For La2PrNdS4, DFT lattice parameters and positions (PBE) gives the theoretical X-ray diffraction stick pattern in this record (λ = 1.5418 Å (Cu Kα)).

Structural model:
Cell: 7.140 4.105 7.161 Å, 90.00 109.35 90.00°
Positions (direct):
La 0.000 0.000 0.000
La 0.000 0.500 0.500
Pr 0.500 0.000 0.500
Nd 0.500 0.500 0.000
S 0.253 0.500 0.249
S 0.254 0.000 0.753
S 0.746 0.000 0.247
S 0.747 0.500 0.751

The 6 most intense peaks (10° ≤ 2θ ≤ 90°), low angle first:
2theta	I/Imax
26.4	36
26.6	36
30.7	100
43.8	37
44.0	24
51.9	15

=====

For La3Pr2NdSe6, DFT lattice parameters and positions (PBE) gives the theoretical X-ray diffraction stick pattern in this record (λ = 1.5418 Å (Cu Kα)).

Structural model:
Cell: 7.433 7.433 7.404 Å, 99.63 99.63 120.14°
Positions (direct):
La 0.000 0.000 0.000
La 0.332 0.668 0.000
La 0.668 0.332 0.000
Pr 0.167 0.833 0.500
Pr 0.833 0.167 0.500
Nd 0.500 0.500 0.500
Se 0.086 0.418 0.253
Se 0.251 0.251 0.748
Se 0.418 0.086 0.253
Se 0.582 0.914 0.747
Se 0.749 0.749 0.252
Se 0.914 0.582 0.747

The 6 most intense peaks (10° ≤ 2θ ≤ 90°), low angle first:
2theta	I/Imax
29.5	100
42.1	38
42.3	37
52.2	13
61.2	12
69.4	17

=====

For LaPr5Nd2Sm, DFT lattice parameters and positions (PBE) gives the theoretical X-ray diffraction stick pattern in this record (λ = 1.5418 Å (Cu Kα)).

Structural model:
Cell: 10.238 10.238 10.238 Å, 127.68 127.68 77.15°
Positions (direct):
La 0.250 0.250 0.000
La 0.750 0.750 0.000
Pr 0.000 0.000 0.000
Pr 0.068 0.568 0.912
Pr 0.157 0.068 0.500
Pr 0.343 0.843 0.912
Pr 0.432 0.343 0.500
Pr 0.500 0.500 0.000
Pr 0.568 0.657 0.500
Pr 0.657 0.157 0.088
Pr 0.843 0.932 0.500
Pr 0.932 0.432 0.088
Nd 0.117 0.383 0.500
Nd 0.383 0.883 0.265
Nd 0.617 0.117 0.735
Nd 0.883 0.617 0.500
Sm 0.250 0.750 0.500
Sm 0.750 0.250 0.500

The 6 most intense peaks (10° ≤ 2θ ≤ 90°), low angle first:
2theta	I/Imax
27.7	56
28.0	50
29.8	100
36.3	18
41.6	23
50.6	20

=====

For LaPr2Nd4Sm, DFT lattice parameters and positions (PBE) gives the theoretical X-ray diffraction stick pattern in this record (λ = 1.5418 Å (Cu Kα)).

Structural model:
Cell: 6.381 3.701 12.284 Å, 90.00 100.33 90.00°
Positions (direct):
La 0.000 0.000 0.000
Pr 0.000 0.500 0.500
Pr 0.500 0.000 0.500
Nd 0.250 0.500 0.250
Nd 0.251 0.000 0.751
Nd 0.749 0.000 0.249
Nd 0.750 0.500 0.750
Sm 0.500 0.500 0.000

The 6 most intense peaks (10° ≤ 2θ ≤ 90°), low angle first:
2theta	I/Imax
29.6	100
34.2	34
34.5	17
49.4	24
58.5	29
58.8	14

=====

For La2Pr2NdSm, DFT lattice parameters and positions (PBE) gives the theoretical X-ray diffraction stick pattern in this record (λ = 1.5418 Å (Cu Kα)).

Structural model:
Cell: 5.885 10.156 7.182 Å, 90.00 90.00 90.00°
Positions (direct):
La 0.000 0.166 0.000
La 0.000 0.834 0.500
La 0.500 0.332 0.499
La 0.500 0.668 0.999
Pr 0.000 0.169 0.500
Pr 0.000 0.831 0.000
Pr 0.500 0.000 0.250
Pr 0.500 0.000 0.750
Nd 0.000 0.500 0.250
Nd 0.000 0.500 0.750
Sm 0.500 0.335 0.000
Sm 0.500 0.665 0.500

The 6 most intense peaks (10° ≤ 2θ ≤ 90°), low angle first:
2theta	I/Imax
30.4	100
30.5	19
43.6	21
54.1	23
54.2	12
60.4	12

=====

For La2PrNdSm2, DFT lattice parameters and positions (PBE) gives the theoretical X-ray diffraction stick pattern in this record (λ = 1.5418 Å (Cu Kα)).

Structural model:
Cell: 6.763 18.439 3.492 Å, 90.00 90.00 90.00°
Positions (direct):
La 0.222 0.186 0.000
La 0.278 0.686 0.500
La 0.722 0.314 0.500
La 0.778 0.814 0.000
Pr 0.000 0.000 0.000
Pr 0.500 0.500 0.500
Nd 0.000 0.500 0.000
Nd 0.500 0.000 0.500
Sm 0.218 0.353 0.500
Sm 0.282 0.853 0.000
Sm 0.718 0.147 0.000
Sm 0.782 0.647 0.500

The 6 most intense peaks (10° ≤ 2θ ≤ 90°), low angle first:
2theta	I/Imax
28.1	100
29.1	79
29.4	88
32.8	63
34.9	44
39.9	65